Starting from a DFT-relaxed cell (PBE, Alexandria), the powder XRD pattern of Pm8Ir3Au2 was calculated for Cu Kα (λ = 1.5418 Å).
Intensities are scaled so that the largest is 100.

Largest 8 diffraction maxima, by intensity, 2θ from 5° to 70°:
35.45°, d 2.532, intensity 100
35.52°, d 2.527, intensity 66
36.24°, d 2.478, intensity 32
63.63°, d 1.462, intensity 24
51.57°, d 1.772, intensity 23
64.71°, d 1.441, intensity 23
21.42°, d 4.149, intensity 17
21.75°, d 4.087, intensity 17

Crystal structure
a = 8.814 Å, b = 4.957 Å, c = 8.830 Å
α = 90.00°, β = 109.85°, γ = 90.00°
Element x y z (fractional)
Pm (0.117, 0.000, 0.384)
Pm (0.137, 0.500, 0.873)
Pm (0.373, 0.500, 0.637)
Pm (0.382, 0.000, 0.118)
Pm (0.618, 0.000, 0.882)
Pm (0.627, 0.500, 0.363)
Pm (0.863, 0.500, 0.127)
Pm (0.883, 0.000, 0.616)
Ir (0.244, 0.000, 0.744)
Ir (0.500, 0.500, 0.000)
Ir (0.756, 0.000, 0.256)
Au (0.242, 0.500, 0.259)
Au (0.758, 0.500, 0.741)

Starting from a DFT-relaxed cell (PBE, Alexandria), the powder XRD pattern of Pm2Sm3Tl was calculated for Cu Kα (λ = 1.5418 Å).
Intensities are scaled so that the largest is 100.

Largest 8 diffraction maxima, by intensity, 2θ from 5° to 70°:
30.70°, d 2.912, intensity 100
34.16°, d 2.625, intensity 22
33.86°, d 2.647, intensity 16
59.01°, d 1.565, intensity 16
38.61°, d 2.332, intensity 12
48.86°, d 1.864, intensity 12
29.75°, d 3.003, intensity 10
52.49°, d 1.743, intensity 10

Crystal structure
a = 9.576 Å, b = 9.576 Å, c = 9.576 Å
α = 148.18°, β = 121.71°, γ = 67.96°
Element x y z (fractional)
Pm (0.276, 0.026, 0.250)
Pm (0.427, 0.677, 0.750)
Pm (0.573, 0.323, 0.250)
Pm (0.724, 0.974, 0.750)
Sm (0.000, 0.500, 0.500)
Sm (0.134, 0.171, 0.963)
Sm (0.292, 0.829, 0.463)
Sm (0.500, 0.500, 0.000)
Sm (0.708, 0.171, 0.537)
Sm (0.866, 0.829, 0.037)
Tl (0.103, 0.353, 0.750)
Tl (0.897, 0.647, 0.250)

Starting from a DFT-relaxed cell (PBE, Alexandria), the powder XRD pattern of LaPm8Sc2 was calculated for Cu Kα (λ = 1.5418 Å).
Intensities are scaled so that the largest is 100.

Largest 8 diffraction maxima, by intensity, 2θ from 5° to 70°:
31.71°, d 2.822, intensity 100
32.52°, d 2.753, intensity 33
29.85°, d 2.993, intensity 28
32.37°, d 2.766, intensity 21
57.52°, d 1.602, intensity 20
34.17°, d 2.624, intensity 20
22.35°, d 3.978, intensity 19
62.26°, d 1.491, intensity 18

Crystal structure
a = 9.343 Å, b = 9.343 Å, c = 9.343 Å
α = 145.73°, β = 126.38°, γ = 65.20°
Element x y z (fractional)
La (0.000, 0.000, 0.000)
Pm (0.152, 0.854, 0.297)
Pm (0.162, 0.662, 0.500)
Pm (0.301, 0.500, 0.801)
Pm (0.443, 0.146, 0.297)
Pm (0.557, 0.854, 0.703)
Pm (0.699, 0.500, 0.199)
Pm (0.838, 0.338, 0.500)
Pm (0.848, 0.146, 0.703)
Sc (0.300, 0.300, 0.000)
Sc (0.700, 0.700, 0.000)

Starting from a DFT-relaxed cell (PBE, Alexandria), the powder XRD pattern of Li4MgGe was calculated for Cu Kα (λ = 1.5418 Å).
Intensities are scaled so that the largest is 100.

Largest 8 diffraction maxima, by intensity, 2θ from 5° to 70°:
22.75°, d 3.908, intensity 100
39.49°, d 2.282, intensity 69
39.96°, d 2.256, intensity 41
27.80°, d 3.209, intensity 33
15.76°, d 5.622, intensity 27
57.43°, d 1.604, intensity 23
51.97°, d 1.760, intensity 17
46.47°, d 1.954, intensity 15

Crystal structure
a = 4.513 Å, b = 7.816 Å, c = 5.622 Å
α = 90.00°, β = 90.01°, γ = 90.00°
Element x y z (fractional)
Li (0.000, 0.167, 0.000)
Li (0.000, 0.167, 0.438)
Li (0.000, 0.833, 0.000)
Li (0.000, 0.833, 0.438)
Li (0.500, 0.333, 0.000)
Li (0.500, 0.333, 0.438)
Li (0.500, 0.667, 0.000)
Li (0.500, 0.667, 0.438)
Mg (0.001, 0.500, 0.719)
Mg (0.501, 0.000, 0.719)
Ge (0.000, 0.500, 0.219)
Ge (0.500, 0.000, 0.219)